Entry 1:
Simulated X-ray powder pattern
Compound: Pu2NpSb5
Radiation: CuKα
Structure: a PBE-relaxed structure
Intensities are scaled so that the largest is 100.

Crystal structure
```
Pu2NpSb5
1.0
6.8819 0.0000 0.0000
0.0000 15.9608 0.0000
0.0000 0.0000 4.5224
Pu Np Sb
4 2 10
direct
0.0011 0.2489 0.0000 Pu
0.4989 0.7489 0.0000 Pu
0.5011 0.2511 0.0000 Pu
0.9989 0.7511 0.0000 Pu
0.0000 0.0000 0.5000 Np
0.5000 0.5000 0.5000 Np
0.0000 0.5000 0.5000 Sb
0.2487 0.5845 0.0000 Sb
0.2504 0.3351 0.5000 Sb
0.2496 0.8351 0.5000 Sb
0.2513 0.0845 0.0000 Sb
0.5000 0.0000 0.5000 Sb
0.7487 0.9155 0.0000 Sb
0.7504 0.1649 0.5000 Sb
0.7496 0.6649 0.5000 Sb
0.7513 0.4155 0.0000 Sb
```

Top 10 peaks for 2θ = 10–80°, sorted by position:
- hkl 0 4 0, 22.3 deg, 3.990 Å, intensity 21
- hkl 0 2 1, 22.6 deg, 3.935 Å, intensity 44
- hkl 1 4 0, 25.8 deg, 3.449 Å, intensity 22
- hkl 1 2 1, 26.1 deg, 3.416 Å, intensity 34
- hkl 2 4 0, 34.4 deg, 2.606 Å, intensity 53
- hkl 2 2 1, 34.6 deg, 2.590 Å, intensity 100
- hkl 0 6 1, 39.3 deg, 2.293 Å, intensity 54
- hkl 0 0 2, 39.9 deg, 2.261 Å, intensity 27
- hkl 2 4 2, 53.7 deg, 1.708 Å, intensity 30
- hkl 4 6 1, 68.1 deg, 1.376 Å, intensity 22



Entry 2:
Simulated X-ray powder pattern
Compound: PaTlSnO6
Radiation: CuKα
Structure: a PBE-relaxed structure
Intensities are scaled so that the largest is 100.

Crystal structure
```
PaTlSnO6
1.0
5.0624 0.0000 0.0000
0.0000 5.0624 0.0000
0.0000 0.0000 10.2386
Pa Tl Sn O
2 2 2 12
direct
0.0000 0.0000 0.0000 Pa
0.5000 0.5000 0.5000 Pa
0.0000 0.0000 0.3312 Tl
0.5000 0.5000 0.8312 Tl
0.0000 0.0000 0.6638 Sn
0.5000 0.5000 0.1638 Sn
0.1841 0.1841 0.8253 O
0.1951 0.1951 0.5104 O
0.2079 0.2079 0.1560 O
0.2921 0.7079 0.6560 O
0.3049 0.6951 0.0104 O
0.3159 0.6841 0.3253 O
0.6841 0.3159 0.3253 O
0.6951 0.3049 0.0104 O
0.7079 0.2921 0.6560 O
0.7921 0.7921 0.1560 O
0.8049 0.8049 0.5104 O
0.8159 0.8159 0.8253 O
```

Top 10 peaks for 2θ = 10–80°, sorted by position:
- hkl 1 1 0, 24.9 deg, 3.580 Å, intensity 100
- hkl 1 0 3, 31.6 deg, 2.830 Å, intensity 92
- hkl 2 0 0, 35.5 deg, 2.531 Å, intensity 29
- hkl 2 1 3, 48.2 deg, 1.887 Å, intensity 72
- hkl 2 2 0, 51.0 deg, 1.790 Å, intensity 17
- hkl 3 1 0, 57.6 deg, 1.601 Å, intensity 18
- hkl 1 1 6, 60.1 deg, 1.540 Å, intensity 18
- hkl 3 0 3, 61.3 deg, 1.513 Å, intensity 21
- hkl 2 0 6, 66.0 deg, 1.415 Å, intensity 11
- hkl 3 2 3, 72.8 deg, 1.298 Å, intensity 17



Entry 3:
Simulated X-ray powder pattern
Compound: CsCaCO3F
Radiation: CuKα
Structure: a PBE-relaxed structure
Intensities are scaled so that the largest is 100.

Crystal structure
```
CsCaCO3F
1.0
9.4088 0.0000 0.0000
-4.7044 8.1483 0.0000
0.0000 0.0000 4.6035
Cs Ca C O F
3 3 3 9 3
direct
0.0000 0.7180 0.0000 Cs
0.2820 0.2820 0.0000 Cs
0.7180 0.0000 0.0000 Cs
0.0000 0.3845 0.5000 Ca
0.3845 0.0000 0.5000 Ca
0.6155 0.6155 0.5000 Ca
0.0000 0.0000 0.5000 C
0.3333 0.6667 0.5000 C
0.6667 0.3333 0.5000 C
0.0000 0.1381 0.5000 O
0.1381 0.0000 0.5000 O
0.2061 0.6867 0.5000 O
0.3133 0.5194 0.5000 O
0.4806 0.7939 0.5000 O
0.5194 0.3133 0.5000 O
0.6867 0.2061 0.5000 O
0.7939 0.4806 0.5000 O
0.8619 0.8619 0.5000 O
0.0000 0.3824 0.0000 F
0.3824 0.0000 0.0000 F
0.6176 0.6176 0.0000 F
```

Top 10 peaks for 2θ = 10–80°, sorted by position:
- hkl 1 1 0, 18.9 deg, 4.704 Å, intensity 35
- hkl 1 1 1, 27.1 deg, 3.290 Å, intensity 100
- hkl 2 1 0, 29.0 deg, 3.080 Å, intensity 24
- hkl 3 0 0, 33.0 deg, 2.716 Å, intensity 28
- hkl 2 1 1, 35.1 deg, 2.560 Å, intensity 25
- hkl 3 0 1, 38.5 deg, 2.339 Å, intensity 12
- hkl 0 0 2, 39.1 deg, 2.302 Å, intensity 20
- hkl 2 2 1, 43.2 deg, 2.095 Å, intensity 13
- hkl 3 0 2, 52.1 deg, 1.756 Å, intensity 14
- hkl 3 2 1, 52.9 deg, 1.732 Å, intensity 11



Entry 4:
Simulated X-ray powder pattern
Compound: Sc2B3C
Radiation: CuKα
Structure: a PBE-relaxed structure
Intensities are scaled so that the largest is 100.

Crystal structure
```
Sc2B3C
1.0
3.0360 0.0000 0.0000
0.0000 3.5554 0.0000
0.0000 0.0000 5.2725
Sc B C
2 3 1
direct
0.0000 0.0000 0.0000 Sc
0.5000 0.0000 0.4954 Sc
0.0000 0.5000 0.3263 B
0.0000 0.5000 0.6676 B
0.5000 0.5000 0.8380 B
0.5000 0.5000 0.1602 C
```

Top 10 peaks for 2θ = 10–80°, sorted by position:
- hkl 0 1 0, 25.0 deg, 3.555 Å, intensity 18
- hkl 0 0 2, 34.1 deg, 2.633 Å, intensity 46
- hkl 1 1 1, 42.7 deg, 2.116 Å, intensity 100
- hkl 0 2 0, 51.4 deg, 1.778 Å, intensity 12
- hkl 1 0 3, 60.9 deg, 1.521 Å, intensity 13
- hkl 2 0 0, 61.0 deg, 1.518 Å, intensity 7
- hkl 0 2 2, 63.1 deg, 1.473 Å, intensity 14
- hkl 1 1 3, 66.9 deg, 1.398 Å, intensity 5
- hkl 0 1 4, 77.2 deg, 1.236 Å, intensity 5
- hkl 2 1 2, 77.3 deg, 1.234 Å, intensity 9